For Tb12Pm7Al, the GGA-PBE geometry in Alexandria gives the calculated powder XRD pattern in this record (Cu Kα X-rays).

Cell and atoms:
Unit cell a=6.337 b=9.763 c=11.614 alpha=65.66 beta=79.92 gamma=85.11
Space group P-1 (No. 2)
One atom of each set of equivalent atoms:
Tb: 0.048 0.344 0.452 x2
Tb: 0.209 0.737 0.229 x2
Tb: 0.231 0.449 0.801 x2
Tb: 0.311 0.417 0.142 x2
Tb: 0.312 0.116 0.725 x2
Tb: 0.414 0.813 0.600 x2
Pm: 0.133 0.039 0.345 x2
Pm: 0.134 0.738 0.915 x2
Pm: 0.387 0.136 0.034 x2
Pm: 0.500 0.500 0.500 x1
Al: 0.000 0.000 0.000 x1

Top 6 peaks for 15° ≤ 2θ ≤ 90°, in order of falling intensity:
(0 1 -3), 31.09 deg, d 2.877, rel. 100
(1 -3 0), 33.70 deg, d 2.660, rel. 80
(-1 2 3), 31.18 deg, d 2.868, rel. 53
(1 3 2), 30.01 deg, d 2.978, rel. 34
(1 3 1), 30.47 deg, d 2.934, rel. 19
(1 2 4), 32.66 deg, d 2.742, rel. 17